# Ti3Mn2CrP6O24
Simulated powder diffractogram, Cu Kα, 1.54184 Å. Input: a cell relaxed with PBE+U.
No peak broadening, texture or thermal motion is included.

Structural model:
```
data_Ti3Mn2CrP6O24
_chemical_formula_sum 'Ti9 Mn6 Cr3 P18 O72'
_symmetry_space_group_name_H-M 'R 3'
_symmetry_Int_Tables_number 146
_symmetry_space_group_name_Hall 'R 3'
_cell_length_a 8.6482
_cell_length_b 8.6482
_cell_length_c 21.1996
_cell_angle_alpha 90.00
_cell_angle_beta 90.00
_cell_angle_gamma 120.00
loop_
_atom_site_label
_atom_site_fract_x
_atom_site_fract_y
_atom_site_fract_z
_atom_site_occupancy
Ti1 0.0000 0.0000 0.0000 1
Ti2 0.0000 0.0000 0.2095 1
Ti3 0.0000 0.0000 0.5012 1
Mn1 0.0000 0.0000 0.3545 1
Mn2 0.0000 0.0000 0.8558 1
Cr1 0.0000 0.0000 0.7130 1
P1 0.9999 0.7062 0.1049 1
P2 0.0427 0.3751 0.2733 1
O1 0.0041 0.8107 0.1644 1
O2 0.0169 0.1833 0.2753 1
O3 0.0211 0.8353 0.7777 1
O4 0.1404 0.4687 0.3331 1
O5 0.1415 0.6679 0.7118 1
O6 0.1448 0.4757 0.2128 1
O7 0.1692 0.4790 0.6006 1
O8 0.1692 0.6873 0.1004 1
```

Main lines, in order of rising 2θ (2θ from 15° to 90°):
Position (°2θ)	I/Imax	index
20.54	71	1 1 0
24.13	100	1 1 3
25.22	16	2 0 2
31.89	16	2 1 1
32.73	69	1 1 6
35.97	31	3 0 0
46.97	26	1 2 8
49.42	25	4 -2 6
56.28	33	4 1 0
62.62	21	0 1 14
64.65	11	3 3 0
76.28	11	6 0 0